Theoretical X-ray powder pattern
Compound: Na4Cr2AsC4O16
Radiation: Cu Kα, 1.54184 Å
Structure: a DFT-relaxed cell (GGA+U, Alexandria)
Lines closer than 0.1° are merged.

Cell and atoms:
```
Na4Cr2AsC4O16
1.0
0.0000 6.9872 7.1662
6.9274 0.0000 7.1662
6.9274 6.9872 0.0000
Na Cr As C O
8 4 2 8 32
Direct
0.0885 0.6615 0.0885
0.0885 0.6615 0.6615
0.3385 0.9115 0.3385
0.3385 0.9115 0.9115
0.6615 0.0885 0.0885
0.6615 0.0885 0.6615
0.9115 0.3385 0.3385
0.9115 0.3385 0.9115
0.0000 0.5000 0.5000
0.5000 0.0000 0.5000
0.5000 0.5000 0.0000
0.5000 0.5000 0.5000
0.1250 0.1250 0.1250
0.8750 0.8750 0.8750
0.2840 0.6351 0.2921
0.2889 0.2921 0.6351
0.2921 0.2889 0.2840
0.3649 0.7160 0.7111
0.6351 0.2840 0.2889
0.7079 0.7111 0.7160
0.7111 0.7079 0.3649
0.7160 0.3649 0.7079
0.0414 0.3369 0.0607
0.0607 0.0610 0.0414
0.0610 0.0607 0.3369
0.1450 0.3195 0.6410
0.1454 0.4031 0.3103
0.1446 0.6316 0.4065
0.3103 0.6412 0.1454
0.3173 0.4065 0.6316
0.3195 0.1450 0.3945
0.3369 0.0414 0.0610
0.3590 0.6055 0.8550
0.3588 0.6897 0.5969
0.3684 0.8554 0.6827
0.3945 0.6410 0.3195
0.4031 0.1454 0.6412
0.4065 0.3173 0.1446
0.5935 0.6827 0.8554
0.5969 0.8546 0.3588
0.6055 0.3590 0.6805
0.6316 0.1446 0.3173
0.6412 0.3103 0.4031
0.6410 0.3945 0.1450
0.6631 0.9586 0.9390
0.6805 0.8550 0.6055
0.6827 0.5935 0.3684
0.6897 0.3588 0.8546
0.8554 0.3684 0.5935
0.8546 0.5969 0.6897
0.8550 0.6805 0.3590
0.9390 0.9393 0.6631
0.9393 0.9390 0.9586
0.9586 0.6631 0.9393
```

Largest 10 diffraction maxima, low angle first, 10° ≤ 2θ ≤ 80°:
2θ (°), I (rel.)
17.77, 100
20.67, 77
21.05, 41
21.19, 43
32.54, 37
33.30, 40
33.56, 41
35.90, 26
36.07, 27
36.53, 22